For Mn3Fe2N4, a DFT-relaxed cell (PBE, the Materials Project) gives the calculated XRD peak list in this record (Cu Kα, 1.54184 Å).
Lines closer than 0.1° are merged.

Structural model:
Unit cell a=4.6919 b=7.1469 c=10.1728 alpha=90.00 beta=90.00 gamma=90.00
Space group Pnna (No. 52)
Symmetry-distinct sites (fractional):
Mn 0.0849 0.1398 0.0476 x8
Mn 0.2500 0.0000 0.4999 x4
Fe 0.2019 0.7500 0.2500 x4
Fe 0.2500 0.0000 0.7472 x4
N 0.0056 0.1204 0.3781 x8
N 0.0177 0.5953 0.3730 x8

Principal peaks in the range 2θ from 10° to 90°, sorted by position:
hkl  2theta  I_rel
1 2 1  32.71  100.0
1 1 3  34.98  37.6
0 0 4  35.29  37.8
0 3 1  38.82  44.9
1 2 3  41.46  72.4
2 0 2  42.42  18.7
2 1 2  44.37  27.2
2 0 4  53.11  29.7
1 2 5  55.54  22.8
2 4 0  65.69  27.6